# NdHo2WN4
Calculated powder diffractogram, Cu Kα. Input: a DFT-relaxed cell (PBE, Alexandria).
Neutral-atom scattering factors, no anomalous dispersion.

Principal peaks in the range 2θ = 10–90°, sorted by position:
16.7 deg, I 15, (0 2 1); 30.0 deg, I 41, (0 0 4); 30.1 deg, I 34, (0 4 0); 31.1 deg, I 100, (1 1 2); 35.5 deg, I 36, (1 3 1); 37.9 deg, I 74, (1 3 2); 40.8 deg, I 15, (0 2 5); 43.0 deg, I 18, (0 4 4); 52.3 deg, I 35, (1 5 3); 53.7 deg, I 15, (2 0 0)

Structural model:
a = 3.414 Å, b = 11.859 Å, c = 11.917 Å
α = 90.00°, β = 90.00°, γ = 90.00°
Space group Cmcm (No. 63)
Inequivalent atoms, fractional coordinates:
1 Nd 0.000 0.092 0.250
2 Ho 0.000 0.371 0.038
3 W 0.000 0.166 0.750
4 N 0.000 0.000 0.000
5 N 0.000 0.262 0.621
6 N 0.000 0.434 0.250


# Bi6Pd3Ru
Calculated powder diffractogram, Cu Kα. Input: a DFT-relaxed cell (PBE, Alexandria).
Neutral-atom scattering factors, no anomalous dispersion.

Principal peaks in the range 2θ = 10–90°, sorted by position:
28.9 deg, I 61, (2 1 -1); 29.1 deg, I 100, (1 2 -1); 29.3 deg, I 50, (2 1 -3); 29.5 deg, I 70, (1 0 2); 30.1 deg, I 84, (1 0 -4); 38.3 deg, I 95, (0 2 3); 40.4 deg, I 41, (3 1 -4); 42.0 deg, I 54, (1 3 -1); 42.9 deg, I 54, (3 1 -1); 43.8 deg, I 44, (3 1 -5)

Structural model:
a = 7.367 Å, b = 6.752 Å, c = 12.128 Å
α = 90.00°, β = 125.76°, γ = 90.00°
Space group P2_1/c (No. 14)
Inequivalent atoms, fractional coordinates:
1 Bi 0.087 0.035 0.257
2 Bi 0.254 0.139 0.592
3 Bi 0.410 0.654 0.578
4 Pd 0.000 0.000 0.000
5 Pd 0.301 0.676 0.271
6 Ru 0.500 0.000 0.500


# Th2Mg3In3
Calculated powder diffractogram, Cu Kα. Input: a DFT-relaxed cell (PBE, Alexandria).
Neutral-atom scattering factors, no anomalous dispersion.

Principal peaks in the range 2θ = 10–90°, sorted by position:
18.6 deg, I 30, (0 1 0); 26.9 deg, I 25, (1 0 2); 32.9 deg, I 100, (1 1 2); 37.7 deg, I 17, (0 2 0); 38.1 deg, I 17, (2 0 0); 38.7 deg, I 16, (0 0 4); 54.7 deg, I 12, (2 2 0); 65.0 deg, I 14, (1 3 2); 65.6 deg, I 14, (3 1 2); 66.4 deg, I 13, (1 1 6)

Structural model:
a = 4.720 Å, b = 4.774 Å, c = 9.301 Å
α = 90.00°, β = 90.00°, γ = 90.00°
Space group Pmmm (No. 47)
Inequivalent atoms, fractional coordinates:
1 Th 0.000 0.000 0.247
2 Mg 0.000 0.500 0.500
3 Mg 0.500 0.500 0.253
4 In 0.000 0.500 0.000
5 In 0.500 0.000 0.000
6 In 0.500 0.000 0.500


# Tm2Ga2Cu3
Calculated powder diffractogram, Cu Kα. Input: a DFT-relaxed cell (PBE, Alexandria).
Neutral-atom scattering factors, no anomalous dispersion.

Principal peaks in the range 2θ = 10–90°, sorted by position:
25.8 deg, I 12, (0 0 2); 32.2 deg, I 25, (0 6 1); 34.7 deg, I 77, (1 1 2); 35.8 deg, I 100, (1 5 1); 39.6 deg, I 12, (0 8 0); 44.1 deg, I 32, (0 4 3); 45.5 deg, I 28, (2 0 0); 57.6 deg, I 13, (1 9 2); 65.2 deg, I 19, (2 4 3); 77.7 deg, I 24, (1 5 5)

Structural model:
a = 3.991 Å, b = 18.201 Å, c = 6.911 Å
α = 90.00°, β = 90.00°, γ = 90.00°
Space group Cmcm (No. 63)
Inequivalent atoms, fractional coordinates:
1 Tm 0.000 0.055 0.250
2 Tm 0.000 0.151 0.750
3 Ga 0.000 0.312 0.558
4 Cu 0.000 0.226 0.250
5 Cu 0.000 0.441 0.071


# RbTl3Hg8
Calculated powder diffractogram, Cu Kα. Input: a DFT-relaxed cell (PBE, Alexandria).
Neutral-atom scattering factors, no anomalous dispersion.

Principal peaks in the range 2θ = 10–90°, sorted by position:
28.3 deg, I 23, (1 1 0); 30.6 deg, I 68, (1 0 3); 33.2 deg, I 98, (1 1 2); 33.9 deg, I 100, (0 2 1); 34.6 deg, I 21, (0 0 4); 37.2 deg, I 29, (2 0 2); 51.6 deg, I 28, (2 1 3); 53.3 deg, I 26, (0 3 2); 55.7 deg, I 34, (0 2 5); 58.5 deg, I 33, (2 2 0)

Structural model:
a = 6.3103 Å, b = 6.3103 Å, c = 10.3651 Å
α = 90.00°, β = 90.00°, γ = 120.00°
Space group P3m1 (No. 156)
Inequivalent atoms, fractional coordinates:
1 Rb 0.0000 0.0000 0.0000
2 Tl 0.0000 0.0000 0.3768
3 Tl 0.6667 0.3333 0.5043
4 Tl 0.6667 0.3333 0.8566
5 Hg 0.1627 0.3253 0.6816
6 Hg 0.3333 0.6667 0.4365
7 Hg 0.3333 0.6667 0.9365
8 Hg 0.5048 0.0096 0.1948


# BaPmPr4Se8
Calculated powder diffractogram, Cu Kα. Input: a DFT-relaxed cell (PBE, Alexandria).
Neutral-atom scattering factors, no anomalous dispersion.

Principal peaks in the range 2θ = 10–90°, sorted by position:
12.2 deg, I 26, (1 0 1); 20.0 deg, I 40, (1 1 0); 23.5 deg, I 100, (1 1 3); 23.5 deg, I 34, (0 1 5); 28.4 deg, I 83, (0 2 4); 37.1 deg, I 66, (1 2 5); 40.5 deg, I 78, (2 2 0); 40.7 deg, I 78, (2 0 8); 58.8 deg, I 24, (0 4 8); 73.8 deg, I 23, (4 2 8)

Structural model:
a = 8.9047 Å, b = 8.9047 Å, c = 21.6837 Å
α = 90.00°, β = 90.00°, γ = 120.00°
Space group R3m (No. 160, hexagonal axes)
Inequivalent atoms, fractional coordinates:
1 Ba 0.0000 0.0000 0.0000
2 Pm 0.0000 0.0000 0.6258
3 Pr 0.0000 0.0000 0.2488
4 Pr 0.1687 0.3375 0.4570
5 Se 0.0000 0.0000 0.3815
6 Se 0.0000 0.0000 0.8593
7 Se 0.0427 0.5213 0.3781
8 Se 0.1779 0.3557 0.2061